[1]
This entry pairs a crystal structure of BaAl2Si2O8 with its computed powder diffractogram. Radiation: Cu Kα. Structure: a DFT-relaxed cell (PBE, Alexandria).
Lines closer than 0.1° are merged.

Cell and atoms:
a = 5.3423 Å, b = 5.3423 Å, c = 7.9485 Å
α = 90.00°, β = 90.00°, γ = 120.00°
Space group P-3 (No. 147)
Unique sites:
Ba: 0.0000 0.0000 0.0000 (multiplicity 1)
Al: 0.3333 0.6667 0.2969 (multiplicity 2)
Si: 0.3333 0.6667 0.7140 (multiplicity 2)
O: 0.0111 0.5741 0.7907 (multiplicity 6)
O: 0.3333 0.6667 0.5127 (multiplicity 2)

Main lines, most intense first (15 to 90 degrees two-theta):
22.23 deg, I 100
29.63 deg, I 70
33.55 deg, I 40
40.64 deg, I 36
48.39 deg, I 21
57.59 deg, I 19
53.67 deg, I 19
39.18 deg, I 15

=====

[2]
This entry pairs a crystal structure of Ba2Al2SnO6 with its computed powder diffractogram. Radiation: Cu Kα. Structure: a DFT-relaxed cell (PBE, Alexandria).
Lines closer than 0.1° are merged.

Cell and atoms:
a = 6.0165 Å, b = 6.0165 Å, c = 18.9789 Å
α = 90.00°, β = 90.00°, γ = 120.00°
Space group R-3m (No. 166, hexagonal axes)
Unique sites:
Ba: 0.0000 0.0000 0.2042 (multiplicity 6)
Al: 0.0000 0.0000 0.4234 (multiplicity 6)
Sn: 0.0000 0.0000 0.0000 (multiplicity 3)
O: 0.0042 0.5021 0.2417 (multiplicity 18)

Main lines, most intense first (15 to 90 degrees two-theta):
29.11 deg, I 100
29.70 deg, I 90
42.07 deg, I 42
52.34 deg, I 38
17.65 deg, I 38
25.39 deg, I 25
39.46 deg, I 24
51.23 deg, I 20

=====

[3]
This entry pairs a crystal structure of BaSrAlO4 with its computed powder diffractogram. Radiation: Cu Kα. Structure: a DFT-relaxed cell (PBE, Alexandria).
Lines closer than 0.1° are merged.

Cell and atoms:
a = 5.5283 Å, b = 13.0345 Å, c = 5.5292 Å
α = 90.00°, β = 90.00°, γ = 90.00°
Space group Cmcm (No. 63)
Unique sites:
Ba: 0.0000 0.1030 0.2500 (multiplicity 4)
Sr: 0.0000 0.3868 0.2500 (multiplicity 4)
Al: 0.0000 0.2522 0.7500 (multiplicity 4)
O: 0.0000 0.1042 0.7500 (multiplicity 4)
O: 0.0000 0.4037 0.7500 (multiplicity 4)
O: 0.2500 0.2500 0.0000 (multiplicity 8)

Main lines, most intense first (15 to 90 degrees two-theta):
30.77 deg, I 100
32.39 deg, I 72
42.90 deg, I 55
46.46 deg, I 40
23.76 deg, I 40
56.76 deg, I 37
27.37 deg, I 24
41.59 deg, I 21

=====

[4]
This entry pairs a crystal structure of BaTaAlO5 with its computed powder diffractogram. Radiation: Cu Kα. Structure: a DFT-relaxed cell (PBE, Alexandria).
Lines closer than 0.1° are merged.

Cell and atoms:
a = 7.1435 Å, b = 9.4380 Å, c = 7.6146 Å
α = 90.00°, β = 114.91°, γ = 90.00°
Space group C2/c (No. 15)
Unique sites:
Ba: 0.0000 0.1687 0.2500 (multiplicity 4)
Ta: 0.0000 0.5000 0.0000 (multiplicity 4)
Al: 0.0000 0.1895 0.7500 (multiplicity 4)
O: 0.0000 0.4457 0.2500 (multiplicity 4)
O: 0.0837 0.3006 0.6043 (multiplicity 8)
O: 0.2049 0.0709 0.8959 (multiplicity 8)

Main lines, most intense first (15 to 90 degrees two-theta):
25.39 deg, I 100
31.62 deg, I 78
27.53 deg, I 65
16.60 deg, I 53
32.12 deg, I 47
34.60 deg, I 27
60.38 deg, I 25
51.31 deg, I 24

=====

[5]
This entry pairs a crystal structure of Ba2Ti2AlTlO7 with its computed powder diffractogram. Radiation: Cu Kα. Structure: a DFT-relaxed cell (PBE, Alexandria).
Lines closer than 0.1° are merged.

Cell and atoms:
a = 5.5388 Å, b = 5.3326 Å, c = 14.5670 Å
α = 90.00°, β = 93.59°, γ = 90.00°
Space group Cm (No. 8)
Unique sites:
Ba: 0.0000 0.0000 0.0000 (multiplicity 2)
Ba: 0.0559 0.0000 0.3400 (multiplicity 2)
Ti: 0.0995 0.5000 0.5462 (multiplicity 2)
Ti: 0.4482 0.0000 0.7935 (multiplicity 2)
Al: 0.0236 0.0000 0.6699 (multiplicity 2)
Tl: 0.0273 0.5000 0.1699 (multiplicity 2)
O: 0.0666 0.0000 0.1700 (multiplicity 2)
O: 0.0681 0.5000 0.4247 (multiplicity 2)
O: 0.1674 0.2333 0.7512 (multiplicity 4)
O: 0.3806 0.2669 0.5884 (multiplicity 4)
O: 0.4785 0.0000 0.9150 (multiplicity 2)

Main lines, most intense first (15 to 90 degrees two-theta):
29.04 deg, I 100
30.33 deg, I 71
26.73 deg, I 47
32.39 deg, I 37
33.61 deg, I 35
54.95 deg, I 34
30.75 deg, I 30
57.30 deg, I 28

=====

[6]
This entry pairs a crystal structure of Ba3TmAl2O8 with its computed powder diffractogram. Radiation: Cu Kα. Structure: a DFT-relaxed cell (PBE, Alexandria).
Lines closer than 0.1° are merged.

Cell and atoms:
a = 5.9093 Å, b = 5.9093 Å, c = 7.5632 Å
α = 90.00°, β = 90.00°, γ = 120.00°
Space group P-3m1 (No. 164)
Unique sites:
Ba: 0.0000 0.0000 0.0000 (multiplicity 1)
Ba: 0.3333 0.6667 0.6664 (multiplicity 2)
Tm: 0.0000 0.0000 0.5000 (multiplicity 1)
Al: 0.3333 0.6667 0.2320 (multiplicity 2)
O: 0.1722 0.3445 0.3209 (multiplicity 6)
O: 0.3333 0.6667 0.0004 (multiplicity 2)

Main lines, most intense first (15 to 90 degrees two-theta):
30.25 deg, I 100
29.37 deg, I 95
42.66 deg, I 48
53.19 deg, I 36
53.73 deg, I 20
17.33 deg, I 18
20.96 deg, I 18
51.53 deg, I 17

=====

[7]
This entry pairs a crystal structure of Ba5Tm2ZrAl2O13 with its computed powder diffractogram. Radiation: Cu Kα. Structure: a DFT-relaxed cell (PBE, Alexandria).
Lines closer than 0.1° are merged.

Cell and atoms:
a = 6.0027 Å, b = 6.0027 Å, c = 25.0912 Å
α = 90.00°, β = 90.00°, γ = 120.00°
Space group P6_3/mmc (No. 194)
Unique sites:
Ba: 0.0000 0.0000 0.1374 (multiplicity 4)
Ba: 0.3333 0.6667 0.0417 (multiplicity 4)
Ba: 0.3333 0.6667 0.7500 (multiplicity 2)
Tm: 0.3333 0.6667 0.6038 (multiplicity 4)
Zr: 0.0000 0.0000 0.0000 (multiplicity 2)
Al: 0.3333 0.6667 0.1807 (multiplicity 4)
O: 0.0094 0.5047 0.1577 (multiplicity 12)
O: 0.1635 0.3271 0.5506 (multiplicity 12)
O: 0.3333 0.6667 0.2500 (multiplicity 2)

Main lines, most intense first (15 to 90 degrees two-theta):
29.77 deg, I 100
30.29 deg, I 64
42.98 deg, I 32
53.16 deg, I 26
27.37 deg, I 25
52.83 deg, I 20
61.82 deg, I 19
17.42 deg, I 19